1.
This entry pairs a crystal structure of CeF3 with its calculated powder diffraction line list. Radiation: CuKα. Structure: a cell relaxed with GGA-PBE.

Crystal structure
```
data_CeF3
_chemical_formula_sum 'Ce2 F6'
_space_group_name_H-M_alt 'P 63/m m c'
_space_group_IT_number 194
_space_group_name_Hall '-P 6c 2c'
_cell_length_a 4.1556
_cell_length_b 4.1556
_cell_length_c 7.3192
_cell_angle_alpha 90.00
_cell_angle_beta 90.00
_cell_angle_gamma 120.00
loop_
_atom_site_label
_atom_site_type_symbol
_atom_site_fract_x
_atom_site_fract_y
_atom_site_fract_z
Ce1 Ce 0.3333 0.6667 0.2500
F1 F 0.0000 0.0000 0.2500
F2 F 0.3333 0.6667 0.5783
```

Most intense lines, 2θ from 5° to 70°, low angle first:
- 24.32°, I = 40, hkl 0 0 2
- 24.74°, I = 30, hkl 1 0 0
- 27.62°, I = 100, hkl 1 0 1
- 34.97°, I = 7, hkl 1 0 2
- 43.56°, I = 52, hkl 1 1 0
- 44.88°, I = 58, hkl 1 0 3
- 50.51°, I = 33, hkl 1 1 2
- 52.36°, I = 18, hkl 2 0 1
- 64.33°, I = 18, hkl 2 0 3
- 68.30°, I = 14, hkl 1 1 4



2.
This entry pairs a crystal structure of CeHfF7 with its calculated powder diffraction line list. Radiation: CuKα. Structure: a cell relaxed with GGA-PBE.

Crystal structure
```
data_CeHfF7
_chemical_formula_sum 'Ce2 Hf2 F14'
_space_group_name_H-M_alt 'P 1 21 1'
_space_group_IT_number 4
_space_group_name_Hall 'P 2yb'
_cell_length_a 6.3163
_cell_length_b 5.8440
_cell_length_c 8.5098
_cell_angle_alpha 90.00
_cell_angle_beta 101.68
_cell_angle_gamma 90.00
loop_
_atom_site_label
_atom_site_type_symbol
_atom_site_fract_x
_atom_site_fract_y
_atom_site_fract_z
Ce1 Ce 0.1575 0.0000 0.1874
Hf1 Hf 0.3130 0.9919 0.7247
F1 F 0.0552 0.3226 0.0267
F2 F 0.0571 0.1984 0.7134
F3 F 0.1286 0.7088 0.7182
F4 F 0.2590 0.9969 0.4843
F5 F 0.3583 0.9898 0.9653
F6 F 0.4309 0.2854 0.2656
F7 F 0.4769 0.7545 0.2632
```

Most intense lines, 2θ from 5° to 70°, low angle first:
- 20.91°, I = 100, hkl 1 1 0
- 21.32°, I = 41, hkl 0 0 2
- 22.13°, I = 15, hkl 1 1 -1
- 24.81°, I = 16, hkl 1 1 1
- 26.27°, I = 12, hkl 0 1 2
- 27.83°, I = 29, hkl 1 1 -2
- 30.60°, I = 15, hkl 0 2 0
- 42.43°, I = 15, hkl 2 2 -1
- 45.83°, I = 20, hkl 3 1 -1
- 50.13°, I = 13, hkl 3 1 1



Which formula does entry 2 have?
CeHfF7